1.
This entry pairs a crystal structure of Li2MnO3 with its theoretical powder diffraction line list. Radiation: Cu Kα, 1.54184 Å. Structure: DFT lattice parameters and positions (PBE+U).
Intensities are scaled so that the largest is 100.

Main lines, low angle first (15° ≤ 2θ ≤ 90°):
2θ/deg, Rel. int.
18.43, 100
18.72, 13
24.85, 20
25.95, 13
36.18, 11
36.39, 22
43.56, 35
43.91, 34
44.30, 33
64.36, 18

Cell and atoms:
```
data_Li2MnO3
_space_group_name_H-M_alt 'P -1'
_space_group_IT_number 2
_cell_length_a 2.8954
_cell_length_b 5.0685
_cell_length_c 7.6731
_cell_angle_alpha 72.08
_cell_angle_beta 79.38
_cell_angle_gamma 89.75
loop_
_space_group_symop_operation_xyz
'x,y,z'
'-x,-y,-z'
loop_
_atom_site_label
_atom_site_type_symbol
_atom_site_fract_x
_atom_site_fract_y
_atom_site_fract_z
Li1 Li 0.0000 0.0000 0.0000
Li2 Li 0.1628 0.4875 0.6765
Li3 Li 0.5000 0.5000 0.0000
Mn1 Mn 0.3341 0.9934 0.3245
O1 O 0.0998 0.7776 0.8125
O2 O 0.2432 0.2137 0.5119
O3 O 0.4050 0.7606 0.1830
```

***

2.
This entry pairs a crystal structure of Li13Mn2O9 with its theoretical powder diffraction line list. Radiation: Cu Kα, 1.54184 Å. Structure: DFT lattice parameters and positions (PBE+U).
Intensities are scaled so that the largest is 100.

Main lines, low angle first (15° ≤ 2θ ≤ 90°):
2θ/deg, Rel. int.
17.92, 42
20.72, 57
20.83, 73
21.08, 100
21.55, 45
31.09, 37
33.12, 75
37.78, 26
54.45, 25
55.72, 44

Cell and atoms:
```
data_Li13Mn2O9
_space_group_name_H-M_alt 'P 1'
_space_group_IT_number 1
_cell_length_a 5.7543
_cell_length_b 9.8995
_cell_length_c 9.9376
_cell_angle_alpha 118.98
_cell_angle_beta 105.69
_cell_angle_gamma 90.67
loop_
_space_group_symop_operation_xyz
'x,y,z'
loop_
_atom_site_label
_atom_site_type_symbol
_atom_site_fract_x
_atom_site_fract_y
_atom_site_fract_z
Li1 Li 0.0000 0.0000 0.0000
Li2 Li 0.0007 0.3623 0.9965
Li3 Li 0.0076 0.0852 0.7978
Li4 Li 0.0780 0.4220 0.7933
Li5 Li 0.0853 0.7449 0.8016
Li6 Li 0.1433 0.8496 0.6403
Li7 Li 0.1680 0.1685 0.6406
Li8 Li 0.2040 0.2585 0.4636
Li9 Li 0.2628 0.9973 0.2668
Li10 Li 0.2672 0.9114 0.4664
Li11 Li 0.2910 0.6329 0.2709
Li12 Li 0.3414 0.3059 0.2803
Li13 Li 0.4158 0.7560 0.1556
Li14 Li 0.4998 0.5002 0.9999
Li15 Li 0.5010 0.8625 0.9967
Li16 Li 0.5077 0.5852 0.7980
Li17 Li 0.5782 0.9221 0.7936
Li18 Li 0.5849 0.2450 0.8014
Li19 Li 0.6434 0.3494 0.6402
Li20 Li 0.6684 0.6686 0.6409
Li21 Li 0.7042 0.7585 0.4635
Li22 Li 0.7626 0.4973 0.2665
Li23 Li 0.7673 0.4112 0.4663
Li24 Li 0.7910 0.1329 0.2713
Li25 Li 0.8415 0.8064 0.2805
Li26 Li 0.9156 0.2556 0.1554
Mn1 Mn 0.2133 0.5677 0.4808
Mn2 Mn 0.4551 0.1803 0.9978
Mn3 Mn 0.7130 0.0675 0.4813
Mn4 Mn 0.9550 0.6801 0.9979
O1 O 0.0982 0.1400 0.2318
O2 O 0.1053 0.4555 0.2505
O3 O 0.1406 0.7959 0.2372
O4 O 0.2553 0.9544 0.8733
O5 O 0.2587 0.2859 0.8736
O6 O 0.2721 0.6422 0.9116
O7 O 0.4215 0.7728 0.5570
O8 O 0.4350 0.1395 0.5462
O9 O 0.4576 0.4618 0.5436
O10 O 0.5987 0.6404 0.2317
O11 O 0.6052 0.9558 0.2509
O12 O 0.6405 0.2954 0.2369
O13 O 0.7549 0.4543 0.8731
O14 O 0.7591 0.7860 0.8741
O15 O 0.7721 0.1421 0.9115
O16 O 0.9215 0.2725 0.5568
O17 O 0.9353 0.6396 0.5462
O18 O 0.9579 0.9620 0.5435
```

***

Please write out number 1 again, unchanged.
This entry pairs a crystal structure of Li2MnO3 with its theoretical powder diffraction line list. Radiation: Cu Kα, 1.54184 Å. Structure: DFT lattice parameters and positions (PBE+U).
Intensities are scaled so that the largest is 100.

Main lines, low angle first (15° ≤ 2θ ≤ 90°):
2θ/deg, Rel. int.
18.43, 100
18.72, 13
24.85, 20
25.95, 13
36.18, 11
36.39, 22
43.56, 35
43.91, 34
44.30, 33
64.36, 18

Cell and atoms:
```
data_Li2MnO3
_space_group_name_H-M_alt 'P -1'
_space_group_IT_number 2
_cell_length_a 2.8954
_cell_length_b 5.0685
_cell_length_c 7.6731
_cell_angle_alpha 72.08
_cell_angle_beta 79.38
_cell_angle_gamma 89.75
loop_
_space_group_symop_operation_xyz
'x,y,z'
'-x,-y,-z'
loop_
_atom_site_label
_atom_site_type_symbol
_atom_site_fract_x
_atom_site_fract_y
_atom_site_fract_z
Li1 Li 0.0000 0.0000 0.0000
Li2 Li 0.1628 0.4875 0.6765
Li3 Li 0.5000 0.5000 0.0000
Mn1 Mn 0.3341 0.9934 0.3245
O1 O 0.0998 0.7776 0.8125
O2 O 0.2432 0.2137 0.5119
O3 O 0.4050 0.7606 0.1830
```